# NaNiO2
Simulated PXRD pattern, Cu Kα X-rays. Input: a crystal structure in Alexandria, relaxed with GGA+U.

Structure:
abc: 5.5119 3.0408 5.0721
angles: 90.00 106.31 90.00
Element x y z (fractional)
Na  0.0000  0.0000  0.0000
Na  0.0000  0.5000  0.5000
Ni  0.5000  0.0000  0.5000
Ni  0.5000  0.5000  0.0000
O  0.3052  0.0426  0.7613
O  0.3052  0.4574  0.2613
O  0.6948  0.5426  0.7387
O  0.6948  0.9574  0.2387

Top 10 peaks for 2θ = 15–90°, most intense first:
- 2θ 16.76, d 5.290, I 100.0, (1 0 0)
- 2θ 41.16, d 2.193, I 96.9, (1 1 1)
- 2θ 42.85, d 2.111, I 42.0, (2 0 -2)
- 2θ 36.41, d 2.467, I 34.9, (1 1 -1)
- 2θ 33.89, d 2.645, I 25.0, (2 0 0)
- 2θ 58.88, d 1.568, I 24.7, (3 1 -1)
- 2θ 62.91, d 1.477, I 24.1, (1 1 -3)
- 2θ 34.79, d 2.579, I 16.8, (0 1 1)
- 2θ 36.93, d 2.434, I 15.7, (0 0 2)
- 2θ 58.28, d 1.583, I 13.6, (2 0 2)